No. 1
Calculated X-ray diffraction stick pattern of BaCaVIn for a wavelength of 1.5418 Å, from the GGA-PBE geometry in Alexandria.
Lines closer than 0.1° are merged.

Atomic structure:
```
data_BaCaVIn
_chemical_formula_sum 'Ba2 Ca2 V2 In2'
_cell_length_a 12.7363
_cell_length_b 3.9615
_cell_length_c 5.5857
_cell_angle_alpha 90.00
_cell_angle_beta 115.92
_cell_angle_gamma 90.00
_symmetry_space_group_name_H-M 'C 1 m 1'
_symmetry_Int_Tables_number 8
_symmetry_space_group_name_Hall 'C -2y'
loop_
_atom_site_label
_atom_site_type_symbol
_atom_site_fract_x
_atom_site_fract_y
_atom_site_fract_z
Ba1 Ba 0.0000 0.0000 0.0000
Ca1 Ca 0.2075 0.0000 0.7069
V1 V 0.4457 0.0000 0.4460
In1 In 0.2682 0.5000 0.2678
```

Principal peaks in the range 2θ from 10° to 90°, most intense first:
(hkl)  Position (°2θ)  d/Å  I (rel.)
1 1 1  31.80  2.814  100
2 2 -2  56.97  1.616  38
2 0 -2  32.05  2.793  27
0 0 1  17.67  5.021  23
4 0 -1  28.31  3.152  21
0 2 0  45.78  1.982  20
4 0 0  31.23  2.864  18
1 1 0  23.77  3.744  15
2 0 2  45.36  1.999  13
1 3 1  75.87  1.254  9

No. 2
Calculated X-ray diffraction stick pattern of BaCa3Ir for a wavelength of 1.5418 Å, from the GGA-PBE geometry in Alexandria.
Lines closer than 0.1° are merged.

Atomic structure:
```
data_BaCa3Ir
_chemical_formula_sum 'Ba2 Ca6 Ir2'
_cell_length_a 8.3623
_cell_length_b 8.3623
_cell_length_c 6.2944
_cell_angle_alpha 90.00
_cell_angle_beta 90.00
_cell_angle_gamma 120.00
_symmetry_space_group_name_H-M 'P 63/m m c'
_symmetry_Int_Tables_number 194
_symmetry_space_group_name_Hall '-P 6c 2c'
loop_
_atom_site_label
_atom_site_type_symbol
_atom_site_fract_x
_atom_site_fract_y
_atom_site_fract_z
Ba1 Ba 0.3333 0.6667 0.2500
Ca1 Ca 0.1604 0.3208 0.7500
Ir1 Ir 0.0000 0.0000 0.0000
```

Principal peaks in the range 2θ from 10° to 90°, most intense first:
(hkl)  Position (°2θ)  d/Å  I (rel.)
1 0 0  12.22  7.242  100
1 1 0  21.25  4.181  98
2 0 1  28.44  3.139  65
2 0 2  37.88  2.375  59
1 0 2  30.98  2.886  52
2 1 2  43.83  2.065  47
2 2 0  43.28  2.091  39
3 0 0  37.25  2.414  24
3 1 2  54.17  1.693  22
1 0 1  18.68  4.751  22

No. 3
Calculated X-ray diffraction stick pattern of BaCa3Ir for a wavelength of 1.5418 Å, from the GGA-PBE geometry in Alexandria.
Lines closer than 0.1° are merged.

Atomic structure:
```
data_BaCa3Ir
_chemical_formula_sum 'Ba1 Ca3 Ir1'
_cell_length_a 5.6951
_cell_length_b 5.6951
_cell_length_c 5.6951
_cell_angle_alpha 90.00
_cell_angle_beta 90.00
_cell_angle_gamma 90.00
_symmetry_space_group_name_H-M 'P m -3 m'
_symmetry_Int_Tables_number 221
_symmetry_space_group_name_Hall '-P 4 2 3'
loop_
_atom_site_label
_atom_site_type_symbol
_atom_site_fract_x
_atom_site_fract_y
_atom_site_fract_z
Ba1 Ba 0.0000 0.0000 0.0000
Ca1 Ca 0.0000 0.5000 0.5000
Ir1 Ir 0.5000 0.5000 0.5000
```

Principal peaks in the range 2θ from 10° to 90°, most intense first:
(hkl)  Position (°2θ)  d/Å  I (rel.)
1 1 0  22.07  4.027  100
2 0 0  31.42  2.848  55
2 1 1  38.73  2.325  48
2 2 0  45.02  2.014  40
3 2 1  60.86  1.522  26
3 1 0  50.69  1.801  22
4 2 0  74.51  1.273  17
5 1 0  87.30  1.117  15
1 0 0  15.56  5.695  15
2 2 2  55.93  1.644  14

No. 4
Calculated X-ray diffraction stick pattern of Ba3CaIr for a wavelength of 1.5418 Å, from the GGA-PBE geometry in Alexandria.
Lines closer than 0.1° are merged.

Atomic structure:
```
data_Ba3CaIr
_chemical_formula_sum 'Ba12 Ca4 Ir4'
_cell_length_a 8.3647
_cell_length_b 8.3647
_cell_length_c 14.3716
_cell_angle_alpha 90.00
_cell_angle_beta 90.00
_cell_angle_gamma 90.00
_symmetry_space_group_name_H-M 'P 41'
_symmetry_Int_Tables_number 76
_symmetry_space_group_name_Hall 'P 4w'
loop_
_atom_site_label
_atom_site_type_symbol
_atom_site_fract_x
_atom_site_fract_y
_atom_site_fract_z
Ba1 Ba 0.0271 0.3156 0.0000
Ba2 Ba 0.0877 0.1888 0.4767
Ba3 Ba 0.3300 0.4176 0.2458
Ca1 Ca 0.1557 0.4685 0.7217
Ir1 Ir 0.1064 0.6011 0.1133
```

Principal peaks in the range 2θ from 10° to 90°, most intense first:
(hkl)  Position (°2θ)  d/Å  I (rel.)
1 0 2  16.24  5.458  100
2 0 2  24.63  3.615  65
1 2 3  30.31  2.949  63
1 0 1  12.24  7.229  60
1 2 2  26.87  3.318  39
2 1 5  39.52  2.280  38
2 1 4  34.63  2.590  34
1 3 1  34.48  2.601  33
4 1 1  45.13  2.009  29
2 0 3  28.33  3.151  25

No. 5
Calculated X-ray diffraction stick pattern of Ba2Ca6Ir for a wavelength of 1.5418 Å, from the GGA-PBE geometry in Alexandria.
Lines closer than 0.1° are merged.

Atomic structure:
```
data_Ba2Ca6Ir
_chemical_formula_sum 'Ba8 Ca24 Ir4'
_cell_length_a 11.5526
_cell_length_b 11.5526
_cell_length_c 11.5526
_cell_angle_alpha 90.00
_cell_angle_beta 90.00
_cell_angle_gamma 90.00
_symmetry_space_group_name_H-M 'F m -3 m'
_symmetry_Int_Tables_number 225
_symmetry_space_group_name_Hall '-F 4 2 3'
loop_
_atom_site_label
_atom_site_type_symbol
_atom_site_fract_x
_atom_site_fract_y
_atom_site_fract_z
Ba1 Ba 0.2500 0.2500 0.2500
Ca1 Ca 0.0000 0.0000 0.2415
Ir1 Ir 0.0000 0.0000 0.0000
```

Principal peaks in the range 2θ from 10° to 90°, most intense first:
(hkl)  Position (°2θ)  d/Å  I (rel.)
2 2 0  21.76  4.084  100
4 0 0  30.96  2.888  78
1 1 1  13.27  6.670  63
4 4 0  44.36  2.042  56
4 2 2  38.16  2.358  48
3 1 1  25.57  3.483  34
2 2 2  26.73  3.335  34
6 4 2  59.92  1.544  27
8 4 0  73.29  1.292  24
6 2 0  49.93  1.827  23

No. 6
Calculated X-ray diffraction stick pattern of Ba3CaIr2O9 for a wavelength of 1.5418 Å, from the GGA-PBE geometry in Alexandria.
Lines closer than 0.1° are merged.

Atomic structure:
```
data_Ba3CaIr2O9
_chemical_formula_sum 'Ba12 Ca4 Ir8 O36'
_cell_length_a 5.9776
_cell_length_b 10.3306
_cell_length_c 14.7517
_cell_angle_alpha 90.00
_cell_angle_beta 91.50
_cell_angle_gamma 90.00
_symmetry_space_group_name_H-M 'C 1 2/c 1'
_symmetry_Int_Tables_number 15
_symmetry_space_group_name_Hall '-C 2yc'
loop_
_atom_site_label
_atom_site_type_symbol
_atom_site_fract_x
_atom_site_fract_y
_atom_site_fract_z
Ba1 Ba 0.0000 0.0025 0.2500
Ba2 Ba 0.0046 0.3330 0.5863
Ca1 Ca 0.0000 0.0000 0.0000
Ir1 Ir 0.0106 0.3340 0.1634
O1 O 0.0000 0.4892 0.2500
O2 O 0.0199 0.1790 0.0885
O3 O 0.2105 0.4104 0.4196
O4 O 0.2321 0.2571 0.2575
O5 O 0.2479 0.0890 0.9047
```

Principal peaks in the range 2θ from 10° to 90°, most intense first:
(hkl)  Position (°2θ)  d/Å  I (rel.)
1 3 0  29.93  2.985  100
0 6 0  53.14  1.723  22
2 6 0  62.20  1.492  18
1 1 0  17.15  5.170  15
1 1 -4  29.43  3.035  14
1 1 1  18.30  4.847  14
1 1 -5  34.67  2.587  13
0 2 4  29.77  3.001  13
0 2 1  18.20  4.875  13
1 1 -1  18.04  4.916  12

No. 7
Calculated X-ray diffraction stick pattern of BaCa2SnIr for a wavelength of 1.5418 Å, from the GGA-PBE geometry in Alexandria.
Lines closer than 0.1° are merged.

Atomic structure:
```
data_BaCa2SnIr
_chemical_formula_sum 'Ba1 Ca2 Sn1 Ir1'
_cell_length_a 5.5829
_cell_length_b 5.5829
_cell_length_c 5.2478
_cell_angle_alpha 90.00
_cell_angle_beta 90.00
_cell_angle_gamma 90.00
_symmetry_space_group_name_H-M 'P 4/m m m'
_symmetry_Int_Tables_number 123
_symmetry_space_group_name_Hall '-P 4 2'
loop_
_atom_site_label
_atom_site_type_symbol
_atom_site_fract_x
_atom_site_fract_y
_atom_site_fract_z
Ba1 Ba 0.0000 0.0000 0.0000
Ca1 Ca 0.0000 0.5000 0.5000
Sn1 Sn 0.5000 0.5000 0.0000
Ir1 Ir 0.5000 0.5000 0.5000
```

Principal peaks in the range 2θ from 10° to 90°, most intense first:
(hkl)  Position (°2θ)  d/Å  I (rel.)
1 1 0  22.52  3.948  100
2 0 0  32.06  2.791  92
2 0 2  47.56  1.912  61
1 0 1  23.26  3.824  59
1 0 0  15.87  5.583  56
1 1 2  41.32  2.185  43
0 0 2  34.17  2.624  39
2 2 0  45.98  1.974  34
2 2 2  58.52  1.577  33
2 1 1  39.99  2.255  28

No. 8
Calculated X-ray diffraction stick pattern of KBaCa2 for a wavelength of 1.5418 Å, from the GGA-PBE geometry in Alexandria.
Lines closer than 0.1° are merged.

Atomic structure:
```
data_KBaCa2
_chemical_formula_sum 'K1 Ba1 Ca2'
_cell_length_a 4.0377
_cell_length_b 6.6835
_cell_length_c 7.9290
_cell_angle_alpha 90.00
_cell_angle_beta 101.16
_cell_angle_gamma 90.00
_symmetry_space_group_name_H-M 'P 1 2/m 1'
_symmetry_Int_Tables_number 10
_symmetry_space_group_name_Hall '-P 2y'
loop_
_atom_site_label
_atom_site_type_symbol
_atom_site_fract_x
_atom_site_fract_y
_atom_site_fract_z
K1 K 0.0000 0.0000 0.0000
Ba1 Ba 0.5000 0.0000 0.5000
Ca1 Ca 0.2066 0.5000 0.7436
```

Principal peaks in the range 2θ from 10° to 90°, most intense first:
(hkl)  Position (°2θ)  d/Å  I (rel.)
0 2 0  26.73  3.335  100
0 1 2  26.51  3.362  69
1 0 1  27.17  3.282  31
0 0 1  11.38  7.779  30
1 2 1  38.44  2.342  24
0 0 4  46.71  1.945  23
0 1 1  17.49  5.069  20
0 1 0  13.25  6.684  18
1 3 -1  47.15  1.928  14
1 1 0  26.15  3.408  13

No. 9
Calculated X-ray diffraction stick pattern of K2BaCa for a wavelength of 1.5418 Å, from the GGA-PBE geometry in Alexandria.
Lines closer than 0.1° are merged.

Atomic structure:
```
data_K2BaCa
_chemical_formula_sum 'K8 Ba4 Ca4'
_cell_length_a 9.8784
_cell_length_b 9.8784
_cell_length_c 9.8784
_cell_angle_alpha 90.00
_cell_angle_beta 90.00
_cell_angle_gamma 90.00
_symmetry_space_group_name_H-M 'F m -3 m'
_symmetry_Int_Tables_number 225
_symmetry_space_group_name_Hall '-F 4 2 3'
loop_
_atom_site_label
_atom_site_type_symbol
_atom_site_fract_x
_atom_site_fract_y
_atom_site_fract_z
K1 K 0.2500 0.2500 0.2500
Ba1 Ba 0.0000 0.0000 0.0000
Ca1 Ca 0.0000 0.0000 0.5000
```

Principal peaks in the range 2θ from 10° to 90°, most intense first:
(hkl)  Position (°2θ)  d/Å  I (rel.)
2 2 0  25.50  3.493  100
4 2 2  44.96  2.016  40
1 1 1  15.54  5.703  24
4 0 0  36.38  2.470  19
6 4 2  71.47  1.320  19
6 2 0  59.15  1.562  17
3 1 1  30.00  2.978  15
2 0 0  17.96  4.939  14
4 4 0  52.39  1.746  12
8 2 2  82.94  1.164  9

No. 10
Calculated X-ray diffraction stick pattern of KBaCa2 for a wavelength of 1.5418 Å, from the GGA-PBE geometry in Alexandria.
Lines closer than 0.1° are merged.

Atomic structure:
```
data_KBaCa2
_chemical_formula_sum 'K3 Ba3 Ca6'
_cell_length_a 4.1712
_cell_length_b 4.1712
_cell_length_c 41.8807
_cell_angle_alpha 90.00
_cell_angle_beta 90.00
_cell_angle_gamma 120.00
_symmetry_space_group_name_H-M 'R 3 m'
_symmetry_Int_Tables_number 160
_symmetry_space_group_name_Hall 'R 3 -2"'
loop_
_atom_site_label
_atom_site_type_symbol
_atom_site_fract_x
_atom_site_fract_y
_atom_site_fract_z
K1 K 0.0000 0.0000 0.0000
Ba1 Ba 0.0000 0.0000 0.2398
Ca1 Ca 0.0000 0.0000 0.4933
Ca2 Ca 0.0000 0.0000 0.7538
```

Principal peaks in the range 2θ from 10° to 90°, most intense first:
(hkl)  Position (°2θ)  d/Å  I (rel.)
1 0 4  26.09  3.415  100
0 1 8  30.06  2.973  65
0 0 12  25.52  3.490  30
1 1 12  51.01  1.790  25
1 1 0  43.39  2.086  24
0 0 6  12.68  6.980  20
1 0 16  42.66  2.120  19
0 0 9  19.07  4.653  15
0 1 5  26.88  3.317  15
0 2 4  51.33  1.780  14

No. 11
Calculated X-ray diffraction stick pattern of K2BaCa for a wavelength of 1.5418 Å, from the GGA-PBE geometry in Alexandria.
Lines closer than 0.1° are merged.

Atomic structure:
```
data_K2BaCa
_chemical_formula_sum 'K4 Ba2 Ca2'
_cell_length_a 4.7934
_cell_length_b 6.8837
_cell_length_c 14.5131
_cell_angle_alpha 90.00
_cell_angle_beta 90.00
_cell_angle_gamma 90.00
_symmetry_space_group_name_H-M 'C m m 2'
_symmetry_Int_Tables_number 35
_symmetry_space_group_name_Hall 'C 2 -2'
loop_
_atom_site_label
_atom_site_type_symbol
_atom_site_fract_x
_atom_site_fract_y
_atom_site_fract_z
K1 K 0.0000 0.0000 0.0000
K2 K 0.0000 0.5000 0.2731
Ba1 Ba 0.0000 0.5000 0.7348
Ca1 Ca 0.0000 0.0000 0.5135
```

Principal peaks in the range 2θ from 10° to 90°, most intense first:
(hkl)  Position (°2θ)  d/Å  I (rel.)
1 1 2  25.76  3.458  100
0 2 0  25.89  3.442  26
0 0 4  24.53  3.628  25
1 3 2  45.58  1.990  20
0 2 4  35.97  2.497  18
1 1 6  43.94  2.060  16
0 0 2  12.20  7.257  16
1 1 1  23.43  3.797  15
1 1 3  29.26  3.052  14
2 2 4  52.96  1.729  11

No. 12
Calculated X-ray diffraction stick pattern of K2Rb4Ba2Ca for a wavelength of 1.5418 Å, from the GGA-PBE geometry in Alexandria.
Lines closer than 0.1° are merged.

Atomic structure:
```
data_K2Rb4Ba2Ca
_chemical_formula_sum 'K2 Rb4 Ba2 Ca1'
_cell_length_a 4.5965
_cell_length_b 4.5965
_cell_length_c 35.8331
_cell_angle_alpha 90.00
_cell_angle_beta 90.00
_cell_angle_gamma 120.00
_symmetry_space_group_name_H-M 'P 3 m 1'
_symmetry_Int_Tables_number 156
_symmetry_space_group_name_Hall 'P 3 -2"'
loop_
_atom_site_label
_atom_site_type_symbol
_atom_site_fract_x
_atom_site_fract_y
_atom_site_fract_z
K1 K 0.0000 0.0000 0.0000
K2 K 0.3333 0.6667 0.3484
Rb1 Rb 0.0000 0.0000 0.2336
Rb2 Rb 0.0000 0.0000 0.4638
Rb3 Rb 0.3333 0.6667 0.1141
Rb4 Rb 0.3333 0.6667 0.8853
Ba1 Ba 0.0000 0.0000 0.5887
Ba2 Ba 0.0000 0.0000 0.7720
Ca1 Ca 0.3333 0.6667 0.6802
```

Principal peaks in the range 2θ from 10° to 90°, most intense first:
(hkl)  Position (°2θ)  d/Å  I (rel.)
0 0 9  22.33  3.981  100
1 0 5  25.60  3.480  81
0 1 4  24.47  3.638  80
1 1 0  39.20  2.298  47
1 1 9  45.58  1.990  45
1 0 6  26.92  3.312  41
0 1 1  22.47  3.956  31
1 0 9  31.79  2.815  27
1 0 13  39.78  2.266  25
0 0 6  14.83  5.972  19